Starting from a cell relaxed with GGA-PBE, the X-ray diffraction stick pattern of U3Te5 was calculated for Cu Kα X-rays.

Atomic structure:
Cell: 13.207 8.800 8.333 Å, 90.00 90.00 90.00°
Atoms (fractional coordinates):
U1 0.006 0.250 0.082
U2 0.181 0.503 0.525
U3 0.181 0.997 0.525
U4 0.319 0.003 0.025
U5 0.319 0.497 0.025
U6 0.494 0.750 0.582
U7 0.506 0.250 0.418
U8 0.681 0.503 0.975
U9 0.681 0.997 0.975
U10 0.819 0.003 0.475
U11 0.819 0.497 0.475
U12 0.994 0.750 0.918
Te1 0.000 0.250 0.464
Te2 0.000 0.750 0.536
Te3 0.099 0.549 0.171
Te4 0.099 0.951 0.171
Te5 0.181 0.250 0.829
Te6 0.219 0.750 0.802
Te7 0.281 0.250 0.302
Te8 0.319 0.750 0.329
Te9 0.401 0.049 0.671
Te10 0.401 0.451 0.671
Te11 0.500 0.250 0.036
Te12 0.500 0.750 0.964
Te13 0.599 0.549 0.329
Te14 0.599 0.951 0.329
Te15 0.681 0.250 0.671
Te16 0.719 0.750 0.698
Te17 0.781 0.250 0.198
Te18 0.819 0.750 0.171
Te19 0.901 0.049 0.829
Te20 0.901 0.451 0.829

Most intense lines, 5 to 70 degrees two-theta, sorted by position:
| 2θ (°) | I_rel | (hkl) |
| --- | --- | --- |
| 30.31 | 40 | 1 2 2 |
| 30.67 | 42 | 3 2 1 |
| 32.55 | 100 | 2 2 2 |
| 33.95 | 41 | 4 2 0 |
| 41.02 | 48 | 0 4 0 |
| 41.31 | 45 | 5 2 1 |